This entry pairs a crystal structure of Ac2Tl2Hg with its theoretical XRD peak list. Radiation: Cu Ka. Structure: DFT lattice parameters and positions (PBE).

Crystal structure
Cell lengths 4.1138, 4.2189, 9.9075 Å; angles 79.23, 82.19, 88.31 degrees
Space group P-1 (No. 2)
Asymmetric unit:
Ac  0.0663  0.0927  0.2974 (multiplicity 2)
Tl  0.3101  0.2967  0.9173 (multiplicity 2)
Hg  0.5000  0.5000  0.5000 (multiplicity 1)

Peak list (10 most intense, 10 to 80 degrees two-theta, low angle first)
2θ/deg, intensity, (hkl)
30.00, 100, 1 1 1
30.54, 97, 1 0 -2
30.83, 96, 1 -1 0
30.94, 94, 0 1 -2
31.92, 86, 0 1 3
33.12, 74, 1 0 3
42.91, 40, 0 2 1
44.19, 33, 2 0 1
47.10, 27, 0 0 5
52.41, 22, 1 2 -1